Record 1
Simulated X-ray diffraction stick pattern
Compound: Rb3Pb2F9
Radiation: Cu Ka
Structure: DFT lattice parameters and positions (PBE)
Neutral-atom scattering factors, no anomalous dispersion.

Top 6 peaks for 2θ = 10–80°, by angle:
| Position (°2θ) | d/Å | I_rel |
| --- | --- | --- |
| 15.6 | 5.664 | 373 |
| 19.0 | 4.679 | 601 |
| 26.6 | 3.348 | 1000 |
| 27.3 | 3.270 | 836 |
| 38.5 | 2.339 | 659 |
| 47.8 | 1.903 | 432 |

Crystal structure
a b c (Å): 6.540 6.540 8.300
angles (deg): 90.00 90.00 120.00
Fractional positions:
Rb 0.000 0.000 0.000
Rb 0.333 0.667 0.381
Rb 0.667 0.333 0.619
Pb 0.333 0.667 0.836
Pb 0.667 0.333 0.164
F 0.000 0.500 0.000
F 0.177 0.355 0.685
F 0.177 0.823 0.685
F 0.355 0.177 0.315
F 0.500 0.000 0.000
F 0.500 0.500 0.000
F 0.645 0.823 0.685
F 0.823 0.177 0.315
F 0.823 0.645 0.315

***

Record 2
Simulated X-ray diffraction stick pattern
Compound: SrZnCuPd
Radiation: Cu Ka
Structure: DFT lattice parameters and positions (PBE)
Neutral-atom scattering factors, no anomalous dispersion.

Top 6 peaks for 2θ = 10–80°, by angle:
| Position (°2θ) | d/Å | I_rel |
| --- | --- | --- |
| 16.8 | 5.266 | 566 |
| 32.7 | 2.741 | 609 |
| 34.0 | 2.633 | 323 |
| 37.0 | 2.431 | 432 |
| 41.1 | 2.198 | 1000 |
| 54.3 | 1.688 | 328 |

Crystal structure
a b c (Å): 4.397 4.397 5.852
angles (deg): 112.20 112.20 59.94
Fractional positions:
Sr 0.000 0.000 0.000
Zn 0.502 0.502 0.506
Cu 0.808 0.808 0.425
Pd 0.195 0.195 0.586

***

Record 3
Simulated X-ray diffraction stick pattern
Compound: Cs2Sb3Au
Radiation: Cu Ka
Structure: DFT lattice parameters and positions (PBE)
Neutral-atom scattering factors, no anomalous dispersion.

Top 6 peaks for 2θ = 10–80°, by angle:
| Position (°2θ) | d/Å | I_rel |
| --- | --- | --- |
| 14.7 | 6.023 | 298 |
| 25.4 | 3.505 | 1000 |
| 26.7 | 3.344 | 584 |
| 29.7 | 3.011 | 425 |
| 37.9 | 2.373 | 419 |
| 48.9 | 1.864 | 403 |

Crystal structure
a b c (Å): 5.105 6.023 8.042
angles (deg): 90.00 90.00 90.00
Fractional positions:
Cs 0.000 0.000 0.000
Cs 0.500 0.000 0.493
Sb 0.000 0.500 0.310
Sb 0.000 0.500 0.670
Sb 0.500 0.500 0.840
Au 0.500 0.500 0.179

***

Record 4
Simulated X-ray diffraction stick pattern
Compound: Pm4NiPt
Radiation: Cu Ka
Structure: DFT lattice parameters and positions (PBE)
Neutral-atom scattering factors, no anomalous dispersion.

Top 6 peaks for 2θ = 10–80°, by angle:
| Position (°2θ) | d/Å | I_rel |
| --- | --- | --- |
| 15.5 | 5.705 | 185 |
| 24.7 | 3.606 | 178 |
| 26.3 | 3.383 | 170 |
| 32.0 | 2.794 | 1000 |
| 42.4 | 2.129 | 457 |
| 49.3 | 1.849 | 200 |

Crystal structure
a b c (Å): 6.204 4.253 7.387
angles (deg): 90.00 113.16 90.00
Fractional positions:
Pm 0.000 0.000 0.000
Pm 0.002 0.500 0.480
Pm 0.497 0.500 0.999
Pm 0.500 0.000 0.481
Ni 0.251 0.500 0.240
Pt 0.249 0.000 0.740

***

Record 5
Simulated X-ray diffraction stick pattern
Compound: Al12Re
Radiation: Cu Ka
Structure: DFT lattice parameters and positions (PBE)
Neutral-atom scattering factors, no anomalous dispersion.

Top 6 peaks for 2θ = 10–80°, by angle:
| Position (°2θ) | d/Å | I_rel |
| --- | --- | --- |
| 16.6 | 5.332 | 1000 |
| 29.0 | 3.079 | 502 |
| 37.7 | 2.385 | 596 |
| 41.5 | 2.177 | 301 |
| 45.0 | 2.015 | 644 |
| 62.8 | 1.479 | 245 |

Crystal structure
a b c (Å): 6.531 6.531 6.531
angles (deg): 109.47 109.47 109.47
Fractional positions:
Al 0.117 0.307 0.811
Al 0.189 0.496 0.307
Al 0.189 0.883 0.693
Al 0.307 0.189 0.496
Al 0.307 0.811 0.117
Al 0.496 0.307 0.189
Al 0.504 0.693 0.811
Al 0.693 0.189 0.883
Al 0.693 0.811 0.504
Al 0.811 0.117 0.307
Al 0.811 0.504 0.693
Al 0.883 0.693 0.189
Re 0.000 0.000 0.000

***

Record 6
Simulated X-ray diffraction stick pattern
Compound: ZrZn16
Radiation: Cu Ka
Structure: DFT lattice parameters and positions (PBE)
Neutral-atom scattering factors, no anomalous dispersion.

Top 6 peaks for 2θ = 10–80°, by angle:
| Position (°2θ) | d/Å | I_rel |
| --- | --- | --- |
| 38.8 | 2.322 | 327 |
| 39.7 | 2.272 | 873 |
| 40.2 | 2.242 | 796 |
| 41.3 | 2.187 | 685 |
| 41.4 | 2.181 | 353 |
| 42.3 | 2.135 | 1000 |

Crystal structure
a b c (Å): 6.949 6.949 11.828
angles (deg): 90.00 90.00 111.58
Fractional positions:
Zr 0.047 0.953 0.750
Zr 0.953 0.047 0.250
Zn 0.000 0.000 0.000
Zn 0.000 0.000 0.500
Zn 0.018 0.644 0.569
Zn 0.018 0.644 0.931
Zn 0.179 0.821 0.140
Zn 0.179 0.821 0.360
Zn 0.193 0.482 0.250
Zn 0.244 0.351 0.634
Zn 0.244 0.351 0.866
Zn 0.294 0.706 0.750
Zn 0.351 0.244 0.134
Zn 0.351 0.244 0.366
Zn 0.356 0.982 0.569
Zn 0.356 0.982 0.931
Zn 0.380 0.620 0.030
Zn 0.380 0.620 0.470
Zn 0.482 0.193 0.750
Zn 0.518 0.807 0.250
Zn 0.620 0.380 0.530
Zn 0.620 0.380 0.970
Zn 0.644 0.018 0.069
Zn 0.644 0.018 0.431
Zn 0.649 0.756 0.634
Zn 0.649 0.756 0.866
Zn 0.706 0.294 0.250
Zn 0.756 0.649 0.134
Zn 0.756 0.649 0.366
Zn 0.807 0.518 0.750
Zn 0.821 0.179 0.640
Zn 0.821 0.179 0.860
Zn 0.982 0.356 0.069
Zn 0.982 0.356 0.431